# FeIr2O6
Calculated powder diffractogram, Cu Kα (weighted mean of Kα1 and Kα2). Input: a structure optimized by DFT (PBE+U).

Crystal structure
Lattice parameters (Å, degrees): 8.655 8.655 4.274 90.00 90.00 120.00
Fractional coordinates of all 27 atoms:
Fe 0.000 0.000 0.000
Fe 0.333 0.667 0.506
Fe 0.667 0.333 0.494
Ir 0.000 0.318 0.500
Ir 0.000 0.653 0.000
Ir 0.318 0.000 0.500
Ir 0.347 0.347 0.000
Ir 0.653 0.000 0.000
Ir 0.682 0.682 0.500
O 0.103 0.884 0.767
O 0.116 0.218 0.767
O 0.116 0.542 0.748
O 0.215 0.768 0.268
O 0.218 0.116 0.233
O 0.232 0.448 0.268
O 0.426 0.884 0.748
O 0.448 0.232 0.732
O 0.458 0.574 0.748
O 0.542 0.116 0.252
O 0.552 0.785 0.268
O 0.574 0.458 0.252
O 0.768 0.215 0.732
O 0.782 0.897 0.767
O 0.785 0.552 0.732
O 0.884 0.103 0.233
O 0.884 0.426 0.252
O 0.897 0.782 0.233

Main lines, in order of rising 2θ (2θ from 10° to 80°):
(hkl)  Position (°2θ)  I_rel
1 1 0  20.52  17
1 1 1  29.37  100
3 0 0  35.94  40
2 2 1  47.07  27
0 3 2  56.68  33
1 4 1  60.61  24